Theoretical XRD peak list
Compound: LaDy2Co
Radiation: Cu Kα, 1.54184 Å
Structure: DFT lattice parameters and positions (GGA-PBE)
Peak positions follow from Bragg's law for the DFT cell and can differ from measured ones.

Largest 10 diffraction maxima, in order of rising 2θ, 2θ from 15° to 90°:
Position (°2θ)  I/Imax
26.95  15
29.19  19
31.42  100
32.80  23
34.12  37
37.86  38
48.47  16
53.19  20
58.48  16
59.88  20

Atomic structure:
a b c (Å): 3.676 9.658 6.387
angles (deg): 90.00 106.65 90.00
Atoms (fractional coordinates):
La 0.088 0.250 0.176
La 0.912 0.750 0.824
Dy 0.356 0.075 0.712
Dy 0.356 0.425 0.712
Dy 0.644 0.575 0.288
Dy 0.644 0.925 0.288
Co 0.248 0.750 0.496
Co 0.752 0.250 0.504

=====

Theoretical XRD peak list
Compound: Zn6IrAu
Radiation: Cu Kα, 1.54184 Å
Structure: DFT lattice parameters and positions (GGA-PBE)
Peak positions follow from Bragg's law for the DFT cell and can differ from measured ones.

Largest 10 diffraction maxima, in order of rising 2θ, 2θ from 15° to 90°:
Position (°2θ)  I/Imax
22.76  37
22.87  19
32.49  38
39.94  100
40.12  97
46.48  63
46.71  31
68.04  47
81.61  23
82.00  32

Atomic structure:
a b c (Å): 6.742 6.742 11.088
angles (deg): 90.00 90.00 109.54
Atoms (fractional coordinates):
Zn 0.000 0.000 0.000
Zn 0.000 0.000 0.500
Zn 0.112 0.367 0.121
Zn 0.112 0.367 0.879
Zn 0.113 0.360 0.370
Zn 0.113 0.360 0.630
Zn 0.249 0.751 0.242
Zn 0.249 0.751 0.758
Zn 0.360 0.113 0.370
Zn 0.360 0.113 0.630
Zn 0.367 0.112 0.121
Zn 0.367 0.112 0.879
Zn 0.500 0.500 0.000
Zn 0.500 0.500 0.500
Zn 0.633 0.888 0.121
Zn 0.633 0.888 0.879
Zn 0.640 0.887 0.370
Zn 0.640 0.887 0.630
Zn 0.751 0.249 0.242
Zn 0.751 0.249 0.758
Zn 0.887 0.640 0.370
Zn 0.887 0.640 0.630
Zn 0.888 0.633 0.121
Zn 0.888 0.633 0.879
Ir 0.000 0.000 0.243
Ir 0.000 0.000 0.757
Ir 0.265 0.735 0.000
Ir 0.735 0.265 0.000
Au 0.262 0.738 0.500
Au 0.500 0.500 0.248
Au 0.500 0.500 0.752
Au 0.738 0.262 0.500

=====

Theoretical XRD peak list
Compound: La5AlSi2O13
Radiation: Cu Kα, 1.54184 Å
Structure: DFT lattice parameters and positions (GGA-PBE)
Peak positions follow from Bragg's law for the DFT cell and can differ from measured ones.

Largest 10 diffraction maxima, in order of rising 2θ, 2θ from 15° to 90°:
Position (°2θ)  I/Imax
20.88  33
21.85  26
26.71  43
27.74  32
30.41  100
30.63  64
31.52  24
44.53  24
47.00  33
49.65  21

Atomic structure:
a b c (Å): 9.810 7.259 9.814
angles (deg): 90.00 119.79 90.00
Atoms (fractional coordinates):
La 0.000 0.000 0.000
La 0.001 0.500 0.758
La 0.093 0.250 0.423
La 0.093 0.750 0.423
La 0.429 0.250 0.087
La 0.429 0.750 0.087
La 0.522 0.500 0.530
La 0.532 0.000 0.775
La 0.758 0.000 0.521
La 0.768 0.500 0.001
Al 0.389 0.500 0.787
Al 0.793 0.000 0.167
Si 0.133 0.000 0.730
Si 0.168 0.500 0.133
Si 0.365 0.000 0.391
Si 0.732 0.500 0.361
O 0.019 0.183 0.674
O 0.019 0.817 0.674
O 0.093 0.500 0.250
O 0.111 0.317 0.018
O 0.111 0.683 0.018
O 0.171 0.000 0.297
O 0.232 0.000 0.634
O 0.249 0.000 0.921
O 0.266 0.500 0.582
O 0.290 0.500 0.896
O 0.362 0.500 0.232
O 0.423 0.182 0.507
O 0.423 0.818 0.507
O 0.435 0.000 0.271
O 0.516 0.307 0.858
O 0.516 0.693 0.858
O 0.589 0.000 0.085
O 0.635 0.500 0.167
O 0.674 0.318 0.419
O 0.674 0.682 0.419
O 0.764 0.500 0.759
O 0.766 0.000 0.762
O 0.866 0.193 0.111
O 0.866 0.807 0.111
O 0.900 0.000 0.374
O 0.922 0.500 0.432

=====

Theoretical XRD peak list
Compound: Zn6IrAu
Radiation: Cu Kα, 1.54184 Å
Structure: DFT lattice parameters and positions (GGA-PBE)
Peak positions follow from Bragg's law for the DFT cell and can differ from measured ones.

Largest 10 diffraction maxima, in order of rising 2θ, 2θ from 15° to 90°:
Position (°2θ)  I/Imax
16.32  38
28.79  19
38.96  100
40.93  86
45.59  63
48.20  27
68.51  36
78.51  25
82.34  21
83.66  21

Atomic structure:
a b c (Å): 6.616 6.169 4.775
angles (deg): 73.14 63.18 43.69
Atoms (fractional coordinates):
Zn 0.124 0.124 0.376
Zn 0.242 0.242 0.758
Zn 0.376 0.376 0.124
Zn 0.624 0.624 0.876
Zn 0.758 0.758 0.242
Zn 0.876 0.876 0.624
Ir 0.000 0.000 0.000
Au 0.500 0.500 0.500

=====

Theoretical XRD peak list
Compound: La3TeP2
Radiation: Cu Kα, 1.54184 Å
Structure: DFT lattice parameters and positions (GGA-PBE)
Peak positions follow from Bragg's law for the DFT cell and can differ from measured ones.

Largest 10 diffraction maxima, in order of rising 2θ, 2θ from 15° to 90°:
Position (°2θ)  I/Imax
24.89  38
28.72  100
28.99  47
41.07  38
41.27  71
51.05  38
67.38  17
67.51  16
67.93  14
74.96  24

Atomic structure:
a b c (Å): 4.395 4.395 18.481
angles (deg): 90.00 90.00 90.00
Atoms (fractional coordinates):
La 0.000 0.000 0.000
La 0.000 0.000 0.325
La 0.000 0.000 0.675
La 0.500 0.500 0.175
La 0.500 0.500 0.500
La 0.500 0.500 0.825
Te 0.000 0.000 0.500
Te 0.500 0.500 0.000
P 0.000 0.000 0.165
P 0.000 0.000 0.835
P 0.500 0.500 0.335
P 0.500 0.500 0.665